Starting from a DFT-relaxed cell (GGA-PBE, Alexandria), the powder diffractogram of Tb3Cd2Ru was computed for Cu Ka.

Structure:
```
data_Tb3Cd2Ru
_chemical_formula_sum 'Tb6 Cd4 Ru2'
_cell_length_a 7.9506
_cell_length_b 7.9506
_cell_length_c 7.6137
_cell_angle_alpha 90.00
_cell_angle_beta 90.00
_cell_angle_gamma 142.82
_symmetry_space_group_name_H-M 'P 1'
_symmetry_Int_Tables_number 1
_symmetry_space_group_name_Hall 'P 1'
loop_
_atom_site_label
_atom_site_type_symbol
_atom_site_fract_x
_atom_site_fract_y
_atom_site_fract_z
Tb1 Tb 0.0000 0.0000 0.2304
Tb2 Tb 0.0000 0.0000 0.7696
Tb3 Tb 0.3254 0.6746 0.2205
Tb4 Tb 0.3254 0.6746 0.7795
Tb5 Tb 0.6746 0.3254 0.2205
Tb6 Tb 0.6746 0.3254 0.7795
Cd1 Cd 0.1655 0.8345 0.5000
Cd2 Cd 0.5000 0.5000 0.0000
Cd3 Cd 0.5000 0.5000 0.5000
Cd4 Cd 0.8345 0.1655 0.5000
Ru1 Ru 0.1629 0.8371 0.0000
Ru2 Ru 0.8371 0.1629 0.0000
```

Peak list (6 most intense, 10 to 80 degrees two-theta, in order of rising 2θ)
2θ (°), intensity
34.4, 100
35.4, 27
35.7, 23
51.2, 18
63.0, 17
63.4, 15